# 1
Calculated powder X-ray diffraction pattern of Ba2GdCl7 for Cu Kα X-rays, from a GGA-PBE-relaxed structure.
No peak broadening, texture or thermal motion is included.

Atomic structure:
```
40
Lattice="6.9589 0.0000 0.0000 0.0000 15.7615 0.0000 -0.1428 0.0000 10.6979" Properties=species:S:1:pos:R:3 pbc="T T T"
Ba 1.5518 3.4775 4.8150
Ba 1.4804 4.4032 10.1639
Ba 1.5718 8.8379 3.4705
Ba 1.5004 14.8043 8.8194
Ba 5.3157 0.9572 1.8784
Ba 5.2442 6.9236 7.2273
Ba 5.3357 11.3582 0.5340
Ba 5.2643 12.2840 5.8829
Gd 1.8592 9.8867 8.3765
Gd 1.9306 13.7555 3.0275
Gd 4.8854 2.0060 7.6703
Gd 4.9568 5.8748 2.3214
Cl 0.0300 11.6941 3.2415
Cl -0.0415 11.9481 8.5905
Cl 0.0033 9.5322 6.2581
Cl 0.0747 14.1100 0.9092
Cl 1.3456 0.6380 3.1037
Cl 1.2742 7.2427 8.4526
Cl 1.4541 10.1016 0.3285
Cl 1.3827 13.5406 5.6774
Cl 2.4772 1.1204 6.6747
Cl 2.5486 6.7603 1.3257
Cl 3.3414 1.6381 9.9377
Cl 3.4435 3.5633 2.1913
Cl 3.3721 4.3174 7.5402
Cl 3.4128 6.2426 4.5888
Cl 3.4033 9.5189 6.1091
Cl 3.4440 11.4441 3.1576
Cl 3.3726 12.1981 8.5066
Cl 3.4747 14.1233 0.7601
Cl 4.2674 9.0012 9.3721
Cl 4.3389 14.6410 4.0232
Cl 5.4334 2.2208 5.0205
Cl 5.3620 5.6599 10.3694
Cl 5.5419 8.5188 2.2452
Cl 5.4705 15.1234 7.5942
Cl 6.7413 1.6515 9.7887
Cl 6.8127 6.2292 4.4398
Cl 6.8575 3.8133 2.1074
Cl 6.7861 4.0674 7.4563
```

Principal peaks in the range 10° ≤ 2θ ≤ 90°, low angle first:
| 2θ (°) | I (rel.) |
| --- | --- |
| 18.8 | 28.6 |
| 21.1 | 34.2 |
| 21.2 | 100.0 |
| 21.6 | 55.7 |
| 21.8 | 30.6 |
| 25.6 | 36.6 |
| 32.9 | 28.9 |
| 34.0 | 57.0 |
| 35.2 | 39.0 |
| 35.4 | 46.9 |
| 37.6 | 33.3 |
| 42.6 | 40.8 |

# 2
Calculated powder X-ray diffraction pattern of Na4YMgP3O12 for Cu Kα X-rays, from a GGA-PBE-relaxed structure.
No peak broadening, texture or thermal motion is included.

Atomic structure:
```
42
Lattice="4.6259 2.6708 7.5485 -4.6259 2.6708 7.5485 0.0000 -5.3415 7.5485" Properties=species:S:1:pos:R:3 pbc="T T T"
Na 0.0000 0.0000 0.0000
Na -1.2362 -2.6024 9.5067
Na -2.9903 -0.2990 13.2809
Na -1.6356 2.3718 9.5067
Na 0.0000 0.0000 11.3227
Na 1.7541 -2.4402 13.2809
Na 2.8718 0.2306 9.5067
Na 1.2362 2.7392 13.2809
Y 0.0000 0.0000 3.5583
Y 0.0000 0.0000 14.8810
Mg 0.0000 0.0000 8.0037
Mg 0.0000 0.0000 19.3264
P -3.1920 -0.2926 9.5932
P -1.4339 -2.9634 13.3675
P 1.8494 -2.6180 9.5932
P -1.8494 2.7235 13.3675
P 1.3426 2.9106 9.5932
P 3.2833 0.2399 13.3675
O -3.5153 -1.1735 10.8179
O -3.8231 1.1315 9.6679
O -2.9800 -2.8342 13.2435
O -0.7414 -1.7104 7.0437
O -0.8090 -3.5738 12.0862
O -1.6459 -0.1634 9.4692
O -1.1106 1.4972 7.0437
O 0.9316 -3.8767 9.6678
O -2.6906 2.4875 12.0862
O -0.8028 -1.5392 13.4421
O 0.9645 -1.3437 9.4692
O -1.9354 -0.1833 15.8605
O 1.8519 0.2132 7.0437
O -0.9316 1.4648 13.4421
O 0.6814 1.5071 9.4692
O 2.7740 -2.4576 10.8179
O 1.1264 -1.5844 15.8605
O -0.9645 3.9979 13.2435
O 0.7414 3.6311 10.8179
O 1.7344 0.0744 13.4421
O 0.8090 1.7677 15.8605
O 2.8915 2.7452 9.6679
O 3.9445 -1.1637 13.2435
O 3.4995 1.0863 12.0862
```

Principal peaks in the range 10° ≤ 2θ ≤ 90°, low angle first:
| 2θ (°) | I (rel.) |
| --- | --- |
| 13.5 | 30.5 |
| 19.2 | 48.3 |
| 22.5 | 34.5 |
| 23.6 | 19.4 |
| 29.8 | 18.7 |
| 30.6 | 100.0 |
| 33.6 | 60.8 |
| 43.8 | 16.5 |
| 46.0 | 43.7 |
| 52.3 | 21.5 |
| 58.2 | 29.5 |
| 60.0 | 22.6 |